Starting from a PBE+U-relaxed structure, the XRD peak list of CsMoP2O8 was computed for copper Kα.

Peak list (8 most intense, 2θ = 5–70°, by angle)
2theta, I (rel.), index
22.4, 100.0, 1 2 -1
22.9, 42.0, 0 1 3
23.3, 60.1, 0 3 1
23.5, 43.7, 1 2 0
23.7, 85.7, 1 2 -2
26.3, 71.4, 0 2 3
34.1, 51.6, 2 0 -2
48.0, 36.1, 0 5 4

Crystal structure
abc: 5.2631 12.0388 13.2871
angles: 90.00 111.96 90.00
Element x y z (fractional)
Cs 0.2172 0.1603 0.4484
Cs 0.2172 0.3397 0.9484
Cs 0.7828 0.6603 0.0516
Cs 0.7828 0.8397 0.5516
Mo 0.4502 0.5474 0.6880
Mo 0.4502 0.9526 0.1880
Mo 0.5498 0.0474 0.8120
Mo 0.5498 0.4526 0.3120
P 0.0468 0.6675 0.8095
P 0.0468 0.8325 0.3095
P 0.1397 0.6029 0.4168
P 0.1397 0.8971 0.9168
P 0.8603 0.1029 0.0832
P 0.8603 0.3971 0.5832
P 0.9532 0.1675 0.6905
P 0.9532 0.3325 0.1905
O 0.1288 0.7023 0.3346
O 0.1288 0.7977 0.8346
O 0.1486 0.6000 0.9115
O 0.1486 0.9000 0.4115
O 0.1562 0.0693 0.1025
O 0.1562 0.4307 0.6025
O 0.1754 0.6424 0.7250
O 0.1754 0.8576 0.2250
O 0.2704 0.1735 0.7496
O 0.2704 0.3265 0.2496
O 0.2867 0.6432 0.5332
O 0.2867 0.8568 0.0332
O 0.2918 0.5121 0.3821
O 0.2918 0.9879 0.8821
O 0.4404 0.5344 0.1982
O 0.4404 0.9656 0.6982
O 0.5596 0.0344 0.3018
O 0.5596 0.4656 0.8018
O 0.7082 0.0121 0.1179
O 0.7082 0.4879 0.6179
O 0.7133 0.1432 0.9668
O 0.7133 0.3568 0.4668
O 0.7296 0.6735 0.7504
O 0.7296 0.8265 0.2504
O 0.8246 0.1424 0.7750
O 0.8246 0.3577 0.2750
O 0.8438 0.5693 0.3975
O 0.8438 0.9307 0.8975
O 0.8514 0.1000 0.5885
O 0.8514 0.4000 0.0885
O 0.8712 0.2023 0.1654
O 0.8712 0.2977 0.6654